Cu2SbO4: theoretical powder diffraction line list (Cu Kα), based on DFT lattice parameters and positions (GGA-PBE).
Kinematic intensities with the Lorentz-polarization factor, no thermal factor.

Most intense lines, 2θ = 10–80°, by angle:
| Position (°2θ) | I_rel |
| --- | --- |
| 23.1 | 100 |
| 31.1 | 76 |
| 34.5 | 23 |
| 39.1 | 57 |
| 44.6 | 47 |
| 47.1 | 87 |
| 57.6 | 30 |
| 64.9 | 23 |
| 73.7 | 21 |
| 75.6 | 17 |

Atomic structure:
Unit cell a=4.8246 b=4.8246 c=4.8246 alpha=106.88 beta=106.88 gamma=114.80
Element x y z (fractional)
Cu1 0.0000 0.5000 0.5000
Cu2 0.5000 0.0000 0.5000
Sb1 0.0000 0.0000 0.0000
O1 0.0722 0.9278 0.5000
O2 0.4278 0.5722 0.5000
O3 0.5722 0.0722 0.1444
O4 0.9278 0.4278 0.8556

=====

ScCu2O4: theoretical powder diffraction line list (Cu Kα), based on DFT lattice parameters and positions (GGA-PBE).
Kinematic intensities with the Lorentz-polarization factor, no thermal factor.

Most intense lines, 2θ = 10–80°, by angle:
| Position (°2θ) | I_rel |
| --- | --- |
| 18.7 | 17 |
| 29.8 | 6 |
| 32.8 | 24 |
| 37.9 | 100 |
| 51.2 | 14 |
| 56.4 | 6 |
| 58.3 | 11 |
| 61.7 | 11 |
| 61.9 | 18 |
| 68.8 | 8 |

Atomic structure:
Unit cell a=6.1134 b=6.1134 c=6.1134 alpha=126.60 beta=126.60 gamma=78.90
Element x y z (fractional)
Sc1 0.3750 0.1250 0.2500
Sc2 0.6250 0.8750 0.7500
Cu1 0.0000 0.0000 0.5000
Cu2 0.0000 0.5000 0.0000
Cu3 0.0000 0.5000 0.5000
Cu4 0.5000 0.5000 0.0000
O1 0.0227 0.1224 0.2880
O2 0.2348 0.5227 0.4004
O3 0.3344 0.7348 0.2120
O4 0.3776 0.1656 0.9004
O5 0.6224 0.8344 0.0996
O6 0.6656 0.2652 0.7880
O7 0.7652 0.4773 0.5996
O8 0.9773 0.8776 0.7120

=====

CuSe2O8: theoretical powder diffraction line list (Cu Kα), based on DFT lattice parameters and positions (GGA-PBE).
Kinematic intensities with the Lorentz-polarization factor, no thermal factor.

Most intense lines, 2θ = 10–80°, by angle:
| Position (°2θ) | I_rel |
| --- | --- |
| 13.1 | 9 |
| 23.0 | 100 |
| 32.7 | 15 |
| 32.8 | 29 |
| 44.7 | 12 |
| 47.0 | 12 |
| 53.1 | 19 |
| 58.5 | 7 |
| 65.1 | 9 |
| 67.0 | 7 |

Atomic structure:
Unit cell a=5.4540 b=5.4540 c=6.7352 alpha=90.00 beta=90.00 gamma=120.00
Element x y z (fractional)
Cu1 0.0000 0.0000 0.0000
Se1 0.3333 0.6667 0.7501
Se2 0.6667 0.3333 0.2499
O1 0.1599 0.3197 0.8098
O2 0.1599 0.8401 0.8098
O3 0.3197 0.1599 0.1902
O4 0.3333 0.6667 0.5047
O5 0.6667 0.3333 0.4953
O6 0.6803 0.8401 0.8098
O7 0.8401 0.1599 0.1902
O8 0.8401 0.6803 0.1902

=====

Cu2SeO6: theoretical powder diffraction line list (Cu Kα), based on DFT lattice parameters and positions (GGA-PBE).
Kinematic intensities with the Lorentz-polarization factor, no thermal factor.

Most intense lines, 2θ = 10–80°, by angle:
| Position (°2θ) | I_rel |
| --- | --- |
| 22.2 | 100 |
| 34.3 | 88 |
| 36.2 | 16 |
| 37.2 | 32 |
| 42.9 | 24 |
| 54.6 | 26 |
| 55.3 | 42 |
| 59.2 | 13 |
| 63.9 | 16 |
| 65.8 | 16 |

Atomic structure:
Unit cell a=4.5766 b=4.9620 c=8.2991 alpha=90.00 beta=90.00 gamma=90.00
Element x y z (fractional)
Cu1 0.0000 0.0000 0.1871
Cu2 0.0000 0.0000 0.8129
Cu3 0.5000 0.5000 0.3129
Cu4 0.5000 0.5000 0.6871
Se1 0.0000 0.5000 0.0000
Se2 0.5000 0.0000 0.5000
O1 0.2120 0.1963 0.0000
O2 0.2232 0.6683 0.1578
O3 0.2232 0.6683 0.8422
O4 0.2768 0.1683 0.3422
O5 0.2768 0.1683 0.6578
O6 0.2880 0.6963 0.5000
O7 0.7120 0.3037 0.5000
O8 0.7232 0.8317 0.3422
O9 0.7232 0.8317 0.6578
O10 0.7768 0.3317 0.1578
O11 0.7768 0.3317 0.8422
O12 0.7880 0.8037 0.0000

=====

CuSeO3: theoretical powder diffraction line list (Cu Kα), based on DFT lattice parameters and positions (GGA-PBE).
Kinematic intensities with the Lorentz-polarization factor, no thermal factor.

Most intense lines, 2θ = 10–80°, by angle:
| Position (°2θ) | I_rel |
| --- | --- |
| 24.5 | 100 |
| 28.7 | 45 |
| 28.9 | 88 |
| 30.5 | 61 |
| 34.9 | 16 |
| 36.9 | 17 |
| 38.2 | 18 |
| 39.5 | 34 |
| 41.2 | 26 |
| 47.5 | 18 |

Atomic structure:
Unit cell a=6.0344 b=12.3605 c=7.2643 alpha=90.00 beta=90.00 gamma=90.00
Element x y z (fractional)
Cu1 0.1537 0.0938 0.0765
Cu2 0.1537 0.4062 0.5765
Cu3 0.3463 0.5938 0.0765
Cu4 0.3463 0.9062 0.5765
Cu5 0.6537 0.0938 0.4235
Cu6 0.6537 0.4062 0.9235
Cu7 0.8463 0.5938 0.4235
Cu8 0.8463 0.9062 0.9235
Se1 0.1093 0.1444 0.5485
Se2 0.1093 0.3556 0.0485
Se3 0.3907 0.6444 0.5485
Se4 0.3907 0.8556 0.0485
Se5 0.6093 0.1444 0.9515
Se6 0.6093 0.3556 0.4515
Se7 0.8907 0.6444 0.9515
Se8 0.8907 0.8556 0.4515
O1 0.0272 0.5902 0.1450
O2 0.0272 0.9098 0.6450
O3 0.1404 0.5665 0.5379
O4 0.1404 0.9335 0.0379
O5 0.2064 0.2356 0.9598
O6 0.2064 0.2644 0.4598
O7 0.2936 0.7356 0.9598
O8 0.2936 0.7644 0.4598
O9 0.3596 0.0665 0.5379
O10 0.3596 0.4335 0.0379
O11 0.4728 0.0902 0.1450
O12 0.4728 0.4098 0.6450
O13 0.5272 0.5902 0.3550
O14 0.5272 0.9098 0.8550
O15 0.6404 0.5665 0.9621
O16 0.6404 0.9335 0.4621
O17 0.7064 0.2356 0.5402
O18 0.7064 0.2644 0.0402
O19 0.7936 0.7356 0.5402
O20 0.7936 0.7644 0.0402
O21 0.8596 0.0665 0.9621
O22 0.8596 0.4335 0.4621
O23 0.9728 0.0902 0.3550
O24 0.9728 0.4098 0.8550

=====

Cu2Se2O7: theoretical powder diffraction line list (Cu Kα), based on DFT lattice parameters and positions (GGA-PBE).
Kinematic intensities with the Lorentz-polarization factor, no thermal factor.

Most intense lines, 2θ = 10–80°, by angle:
| Position (°2θ) | I_rel |
| --- | --- |
| 21.5 | 78 |
| 26.0 | 100 |
| 29.5 | 79 |
| 31.0 | 56 |
| 32.2 | 40 |
| 34.3 | 35 |
| 37.6 | 26 |
| 41.3 | 38 |
| 55.7 | 26 |
| 57.5 | 24 |

Atomic structure:
Unit cell a=5.2490 b=10.6734 c=5.7298 alpha=90.00 beta=109.70 gamma=90.00
Element x y z (fractional)
Cu1 0.2170 0.1822 0.3237
Cu2 0.2170 0.3178 0.8237
Cu3 0.7830 0.6822 0.1763
Cu4 0.7830 0.8178 0.6763
Se1 0.2950 0.6018 0.6480
Se2 0.2950 0.8982 0.1480
Se3 0.7050 0.1018 0.8520
Se4 0.7050 0.3982 0.3520
O1 0.0119 0.7048 0.5213
O2 0.0119 0.7952 0.0213
O3 0.1931 0.5058 0.8344
O4 0.1931 0.9942 0.3344
O5 0.4727 0.2062 0.6582
O6 0.4727 0.2938 0.1582
O7 0.5000 0.0000 0.0000
O8 0.5000 0.5000 0.5000
O9 0.5273 0.7062 0.8418
O10 0.5273 0.7938 0.3418
O11 0.8069 0.0058 0.6656
O12 0.8069 0.4942 0.1656
O13 0.9881 0.2048 0.9787
O14 0.9881 0.2952 0.4787

=====

CuSe2O5: theoretical powder diffraction line list (Cu Kα), based on DFT lattice parameters and positions (GGA-PBE).
Kinematic intensities with the Lorentz-polarization factor, no thermal factor.

Most intense lines, 2θ = 10–80°, by angle:
| Position (°2θ) | I_rel |
| --- | --- |
| 21.3 | 35 |
| 25.8 | 100 |
| 28.3 | 39 |
| 31.2 | 65 |
| 32.0 | 21 |
| 33.4 | 27 |
| 50.1 | 16 |
| 52.8 | 27 |
| 56.8 | 17 |
| 62.3 | 17 |

Atomic structure:
Unit cell a=6.8428 b=10.6564 c=6.0634 alpha=90.00 beta=90.00 gamma=90.00
Element x y z (fractional)
Cu1 0.0000 0.0646 0.2500
Cu2 0.0000 0.9354 0.7500
Cu3 0.5000 0.4354 0.7500
Cu4 0.5000 0.5646 0.2500
Se1 0.1348 0.3453 0.0282
Se2 0.1348 0.6547 0.5282
Se3 0.3652 0.1547 0.5282
Se4 0.3652 0.8453 0.0282
Se5 0.6348 0.1547 0.9718
Se6 0.6348 0.8453 0.4718
Se7 0.8652 0.3453 0.4718
Se8 0.8652 0.6547 0.9718
O1 0.0000 0.4324 0.2500
O2 0.0000 0.5676 0.7500
O3 0.1517 0.0664 0.5409
O4 0.1517 0.9336 0.0409
O5 0.2013 0.2111 0.1607
O6 0.2013 0.7889 0.6607
O7 0.2987 0.2889 0.6607
O8 0.2987 0.7111 0.1607
O9 0.3483 0.4336 0.0409
O10 0.3483 0.5664 0.5409
O11 0.5000 0.0676 0.7500
O12 0.5000 0.9324 0.2500
O13 0.6517 0.4336 0.4591
O14 0.6517 0.5664 0.9591
O15 0.7013 0.2889 0.8393
O16 0.7013 0.7111 0.3393
O17 0.7987 0.2111 0.3393
O18 0.7987 0.7889 0.8393
O19 0.8483 0.0664 0.9591
O20 0.8483 0.9336 0.4591

=====

Cu2SeO4: theoretical powder diffraction line list (Cu Kα), based on DFT lattice parameters and positions (GGA-PBE).
Kinematic intensities with the Lorentz-polarization factor, no thermal factor.

Most intense lines, 2θ = 10–80°, by angle:
| Position (°2θ) | I_rel |
| --- | --- |
| 24.1 | 40 |
| 27.9 | 36 |
| 31.2 | 24 |
| 32.8 | 100 |
| 34.3 | 74 |
| 43.6 | 17 |
| 52.5 | 29 |
| 57.6 | 40 |
| 60.5 | 18 |
| 68.8 | 21 |

Atomic structure:
Unit cell a=9.0530 b=9.0530 c=9.0530 alpha=90.00 beta=90.00 gamma=90.00
Element x y z (fractional)
Cu1 0.1164 0.3836 0.6164
Cu2 0.1228 0.8746 0.1335
Cu3 0.1254 0.6335 0.3772
Cu4 0.1335 0.1228 0.8746
Cu5 0.3665 0.8772 0.3746
Cu6 0.3746 0.3665 0.8772
Cu7 0.3772 0.1254 0.6335
Cu8 0.3836 0.6164 0.1164
Cu9 0.6164 0.1164 0.3836
Cu10 0.6228 0.6254 0.8665
Cu11 0.6254 0.8665 0.6228
Cu12 0.6335 0.3772 0.1254
Cu13 0.8665 0.6228 0.6254
Cu14 0.8746 0.1335 0.1228
Cu15 0.8772 0.3746 0.3665
Cu16 0.8836 0.8836 0.8836
Se1 0.0437 0.5437 0.9563
Se2 0.2105 0.2105 0.2105
Se3 0.2895 0.7895 0.7105
Se4 0.4563 0.4563 0.4563
Se5 0.5437 0.9563 0.0437
Se6 0.7105 0.2895 0.7895
Se7 0.7895 0.7105 0.2895
Se8 0.9563 0.0437 0.5437
O1 0.0089 0.0089 0.0089
O2 0.0203 0.5353 0.7645
O3 0.0305 0.2713 0.1845
O4 0.0353 0.7355 0.9797
O5 0.1845 0.0305 0.2713
O6 0.2287 0.8155 0.5305
O7 0.2355 0.5203 0.9647
O8 0.2390 0.2610 0.7390
O9 0.2610 0.7390 0.2390
O10 0.2645 0.4797 0.4647
O11 0.2713 0.1845 0.0305
O12 0.3155 0.9695 0.7713
O13 0.4647 0.2645 0.4797
O14 0.4695 0.7287 0.6845
O15 0.4797 0.4647 0.2645
O16 0.4911 0.9911 0.5089
O17 0.5089 0.4911 0.9911
O18 0.5203 0.9647 0.2355
O19 0.5305 0.2287 0.8155
O20 0.5353 0.7645 0.0203
O21 0.6845 0.4695 0.7287
O22 0.7287 0.6845 0.4695
O23 0.7355 0.9797 0.0353
O24 0.7390 0.2390 0.2610
O25 0.7610 0.7610 0.7610
O26 0.7645 0.0203 0.5353
O27 0.7713 0.3155 0.9695
O28 0.8155 0.5305 0.2287
O29 0.9647 0.2355 0.5203
O30 0.9695 0.7713 0.3155
O31 0.9797 0.0353 0.7355
O32 0.9911 0.5089 0.4911